1.
For DySnSb, a GGA-PBE-relaxed structure gives the simulated X-ray diffraction stick pattern in this record (λ = 1.5418 Å (Cu Kα)).

Principal peaks in the range 2θ from 15° to 90°, by intensity:
d 2.581, 34.76°, rel. 100
d 2.806, 31.90°, rel. 64
d 1.573, 58.70°, rel. 44
d 1.984, 45.73°, rel. 24
d 1.453, 64.07°, rel. 16
d 1.290, 73.37°, rel. 11
d 1.255, 75.82°, rel. 11
d 1.233, 77.44°, rel. 10
d 1.403, 66.67°, rel. 8
d 1.699, 53.97°, rel. 7

Atomic structure:
Cell lengths 3.968, 3.968, 10.194 Å; angles 90.00, 90.00, 90.00 degrees
Positions (direct):
Dy 0.000 0.249 0.000
Dy 0.500 0.751 0.500
Sn 0.000 0.251 0.670
Sn 0.500 0.749 0.170
Sb 0.000 0.251 0.348
Sb 0.500 0.749 0.848


2.
For Tb3HoBi2C, a GGA-PBE-relaxed structure gives the simulated X-ray diffraction stick pattern in this record (λ = 1.5418 Å (Cu Kα)).

Principal peaks in the range 2θ from 15° to 90°, by intensity:
d 2.612, 34.33°, rel. 100
d 3.160, 28.24°, rel. 52
d 2.442, 36.80°, rel. 28
d 2.418, 37.18°, rel. 27
d 2.681, 33.43°, rel. 26
d 3.437, 25.93°, rel. 21
d 1.457, 63.91°, rel. 20
d 1.718, 53.31°, rel. 19
d 1.441, 64.71°, rel. 17
d 1.431, 65.21°, rel. 16

Atomic structure:
Cell lengths 8.745, 8.745, 8.745 Å; angles 147.89, 147.57, 46.29 degrees
Positions (direct):
Tb 0.000 0.000 0.000
Tb 0.347 0.847 0.500
Tb 0.653 0.153 0.500
Ho 0.500 0.500 0.000
Bi 0.144 0.644 0.500
Bi 0.856 0.356 0.500
C 0.500 0.000 0.500


3.
For Cd2InPb4, a GGA-PBE-relaxed structure gives the simulated X-ray diffraction stick pattern in this record (λ = 1.5418 Å (Cu Kα)).

Principal peaks in the range 2θ from 15° to 90°, by intensity:
d 2.998, 29.80°, rel. 100
d 2.527, 35.52°, rel. 70
d 2.535, 35.41°, rel. 54
d 2.519, 35.64°, rel. 42
d 2.988, 29.90°, rel. 35
d 2.963, 30.16°, rel. 35
d 2.975, 30.04°, rel. 35
d 3.854, 23.08°, rel. 26
d 2.513, 35.72°, rel. 24
d 3.870, 22.98°, rel. 18

Atomic structure:
Cell lengths 8.148, 8.167, 8.186 Å; angles 110.00, 109.06, 108.98 degrees
Positions (direct):
Cd 0.000 0.000 0.000
Cd 0.241 0.742 0.498
Cd 0.499 0.871 0.130
Cd 0.742 0.371 0.871
In 0.120 0.245 0.625
In 0.619 0.496 0.373
Pb 0.041 0.627 0.755
Pb 0.199 0.456 0.084
Pb 0.371 0.117 0.416
Pb 0.372 0.115 0.915
Pb 0.541 0.627 0.756
Pb 0.700 0.956 0.586
Pb 0.871 0.286 0.245
Pb 0.871 0.786 0.244


4.
For Cd4In9Hg11, a GGA-PBE-relaxed structure gives the simulated X-ray diffraction stick pattern in this record (λ = 1.5418 Å (Cu Kα)).

Principal peaks in the range 2θ from 15° to 90°, by intensity:
d 2.911, 30.71°, rel. 100
d 2.649, 33.84°, rel. 82
d 2.504, 35.86°, rel. 74
d 2.596, 34.54°, rel. 72
d 2.780, 32.20°, rel. 68
d 2.710, 33.06°, rel. 61
d 2.679, 33.45°, rel. 57
d 2.667, 33.60°, rel. 56
d 1.718, 53.34°, rel. 55
d 2.605, 34.43°, rel. 54

Atomic structure:
Cell lengths 3.442, 13.030, 14.593 Å; angles 75.02, 86.49, 89.48 degrees
Positions (direct):
Cd 0.015 0.235 0.442
Cd 0.024 0.005 0.229
Cd 0.976 0.995 0.771
Cd 0.985 0.765 0.558
In 0.008 0.283 0.088
In 0.022 0.642 0.356
In 0.460 0.412 0.224
In 0.469 0.172 0.838
In 0.500 0.000 0.500
In 0.531 0.828 0.162
In 0.540 0.588 0.776
In 0.978 0.358 0.644
In 0.992 0.717 0.912
Hg 0.002 0.373 0.858
Hg 0.427 0.907 0.954
Hg 0.477 0.834 0.706
Hg 0.478 0.568 0.574
Hg 0.490 0.158 0.625
Hg 0.500 0.500 0.000
Hg 0.510 0.842 0.375
Hg 0.522 0.432 0.426
Hg 0.523 0.166 0.294
Hg 0.573 0.093 0.046
Hg 0.998 0.627 0.142